# Ta6Mn2Zn3O20
Computed PXRD pattern, a wavelength of 1.5418 Å. Input: a cell relaxed with GGA+U.
Neutral-atom scattering factors, no anomalous dispersion.

Crystal structure
Lattice parameters (Å, degrees): 7.240 7.284 7.745 75.66 75.98 86.15
Sites, in units of the cell vectors:
Ta 0.000 0.000 0.000
Ta 0.139 0.653 0.387
Ta 0.333 0.848 0.619
Ta 0.479 0.518 0.000
Ta 0.631 0.163 0.384
Ta 0.819 0.352 0.626
Mn 0.159 0.212 0.240
Mn 0.684 0.682 0.244
Zn 0.277 0.330 0.767
Zn 0.564 0.033 0.999
Zn 0.810 0.799 0.752
O 0.048 0.257 0.996
O 0.073 0.804 0.586
O 0.099 0.409 0.591
O 0.117 0.895 0.206
O 0.222 0.999 0.796
O 0.240 0.509 0.202
O 0.339 0.608 0.800
O 0.362 0.095 0.415
O 0.396 0.706 0.414
O 0.414 0.256 0.997
O 0.528 0.772 0.005
O 0.561 0.308 0.592
O 0.605 0.913 0.593
O 0.613 0.403 0.204
O 0.717 0.511 0.801
O 0.728 0.015 0.196
O 0.821 0.115 0.811
O 0.864 0.596 0.420
O 0.885 0.208 0.420
O 0.897 0.766 0.989

Principal peaks in the range 2θ = 10–80°, by intensity:
| hkl | Position (°2θ) | Rel. int. |
| --- | --- | --- |
| 0 2 2 | 30.72 | 100 |
| 1 -1 1 | 21.67 | 87 |
| 2 0 2 | 30.95 | 32 |
| -3 1 2 | 51.24 | 28 |
| 1 1 1 | 17.79 | 28 |
| 2 2 1 | 33.80 | 26 |